No. 1
Diffraction record for Sm8InBi6. The powder XRD pattern is computed, not measured: it uses a cell relaxed with GGA-PBE and Cu Kα, 1.54184 Å.
Lines closer than 0.1° are merged.

Largest 10 diffraction maxima, by intensity, 10 to 90 degrees two-theta:
2θ = 33.60°, I 100, (1 1 6); 2θ = 32.55°, I 97, (3 0 0); 2θ = 30.11°, I 46, (1 2 2); 2θ = 27.71°, I 41, (0 0 6); 2θ = 23.23°, I 33, (1 1 3); 2θ = 34.22°, I 32, (3 -1 4); 2θ = 18.62°, I 29, (1 1 0); 2θ = 29.00°, I 29, (2 1 1); 2θ = 43.26°, I 25, (0 3 6); 2θ = 47.48°, I 23, (4 -2 6)

Cell and atoms:
abc: 9.5282 9.5282 19.3174
angles: 90.00 90.00 120.00
Space group R-3 (No. 148, hexagonal axes)
Unique sites:
Sm1 0.0000 0.0000 0.1663 (multiplicity 6)
Sm2 0.0053 0.2711 0.5888 (multiplicity 18)
In1 0.0000 0.0000 0.5000 (multiplicity 3)
Bi1 0.0050 0.3846 0.4219 (multiplicity 18)

---

No. 2
Diffraction record for Cr2TePt. The powder XRD pattern is computed, not measured: it uses a cell relaxed with GGA-PBE and Cu Kα, 1.54184 Å.
Lines closer than 0.1° are merged.

Largest 10 diffraction maxima, by intensity, 10 to 90 degrees two-theta:
2θ = 37.99°, I 100, (1 1 2); 2θ = 24.72°, I 39, (1 0 1); 2θ = 46.30°, I 28, (2 0 0); 2θ = 62.51°, I 22, (2 0 4); 2θ = 39.58°, I 22, (0 0 4); 2θ = 80.23°, I 22, (3 1 2); 2θ = 70.76°, I 15, (1 1 6); 2θ = 37.46°, I 14, (1 0 3); 2θ = 53.19°, I 11, (2 1 1); 2θ = 81.24°, I 11, (2 2 4)

Cell and atoms:
abc: 3.921 3.921 9.108
angles: 90.00 90.00 90.00
Space group I-4m2 (No. 119)
Unique sites:
Cr1 0.000 0.000 0.000 (multiplicity 2)
Cr2 0.000 0.500 0.250 (multiplicity 2)
Te1 0.000 0.500 0.750 (multiplicity 2)
Pt1 0.000 0.000 0.500 (multiplicity 2)

---

No. 3
Diffraction record for GaFe7Co4. The powder XRD pattern is computed, not measured: it uses a cell relaxed with GGA-PBE and Cu Kα, 1.54184 Å.
Lines closer than 0.1° are merged.

Largest 10 diffraction maxima, by intensity, 10 to 90 degrees two-theta:
2θ = 44.80°, I 100, (1 2 -1); 2θ = 44.93°, I 99, (1 2 2); 2θ = 44.60°, I 51, (2 0 2); 2θ = 45.05°, I 49, (2 0 -1); 2θ = 82.95°, I 28, (0 4 2); 2θ = 64.85°, I 15, (1 -2 3); 2θ = 65.32°, I 15, (3 2 1); 2θ = 65.74°, I 14, (-1 2 3); 2θ = 82.37°, I 14, (0 4 -1); 2θ = 82.58°, I 14, (4 0 1)

Cell and atoms:
abc: 4.743 4.952 6.227
angles: 82.81 77.48 80.12
Space group P-1 (No. 2)
Unique sites:
Ga1 0.000 0.000 0.000 (multiplicity 1)
Fe1 0.000 0.500 0.000 (multiplicity 1)
Fe2 0.172 0.082 0.338 (multiplicity 2)
Fe3 0.331 0.670 0.668 (multiplicity 2)
Fe4 0.493 0.253 0.997 (multiplicity 2)
Co1 0.172 0.582 0.334 (multiplicity 2)
Co2 0.337 0.173 0.660 (multiplicity 2)